Diffraction record for Sr6FeC2N7. The XRD peak list is computed, not measured: it uses the PBE geometry in OQMD and a wavelength of 1.5418 Å.

Atomic structure:
Cell: 9.905 14.727 3.817 Å, 90.00 90.00 90.00°
Space group P2_12_12 (No. 18)
Asymmetric unit:
Sr1 0.070 0.110 0.058 x4
Sr2 0.098 0.667 0.510 x4
Sr3 0.245 0.943 0.556 x4
Fe1 0.000 0.500 0.979 x2
C1 0.225 0.281 0.821 x4
N1 0.000 0.000 0.564 x2
N2 0.131 0.251 0.639 x4
N3 0.168 0.555 0.975 x4
N4 0.171 0.808 0.027 x4

Largest 12 diffraction maxima, in order of rising 2θ, 10 to 80 degrees two-theta:
2θ/deg	intensity
12.02	20
25.78	34
29.55	24
29.65	100
30.19	44
31.02	96
31.69	28
32.00	43
35.05	74
44.03	24
47.69	35
57.11	25

Diffraction record for SrSnAsPt2. The XRD peak list is computed, not measured: it uses the PBE geometry in OQMD and a wavelength of 1.5418 Å.

Atomic structure:
Cell: 4.593 4.521 10.521 Å, 90.00 90.63 90.00°
Space group P2_1/m (No. 11)
Asymmetric unit:
Sr1 0.246 0.250 0.267 x2
Sn1 0.252 0.750 0.001 x2
As1 0.215 0.250 0.617 x2
Pt1 0.245 0.250 0.856 x2
Pt2 0.300 0.750 0.502 x2

Largest 12 diffraction maxima, in order of rising 2θ, 10 to 80 degrees two-theta:
2θ/deg	intensity
16.85	44
21.19	20
21.39	18
32.30	47
32.48	100
32.71	88
39.24	62
39.88	67
44.28	57
44.64	45
47.69	22
57.18	41

Diffraction record for PmGdSN2. The XRD peak list is computed, not measured: it uses the PBE geometry in OQMD and a wavelength of 1.5418 Å.

Atomic structure:
Cell: 3.9452 3.9452 6.7390 Å, 90.00 90.00 120.00°
Space group P3m1 (No. 156)
Asymmetric unit:
Pm1 0.0000 0.0000 0.0000 x1
Gd1 0.6667 0.3333 0.4447 x1
S1 0.3333 0.6667 0.7188 x1
N1 0.0000 0.0000 0.3581 x1
N2 0.6667 0.3333 0.1018 x1

Largest 12 diffraction maxima, in order of rising 2θ, 10 to 80 degrees two-theta:
2θ/deg	intensity
26.08	19
26.45	22
29.31	100
37.49	29
46.01	30
48.50	24
53.85	19
55.49	17
60.79	7
62.68	7
69.08	8
74.87	14

Diffraction record for Y5Ho2Ni2Te2. The XRD peak list is computed, not measured: it uses the PBE geometry in OQMD and a wavelength of 1.5418 Å.

Atomic structure:
Cell: 3.857 15.628 9.567 Å, 90.00 90.00 90.00°
Space group Imm2 (No. 44)
Asymmetric unit:
Y1 0.000 0.000 0.000 x2
Y2 0.000 0.131 0.417 x4
Y3 0.000 0.354 0.268 x4
Ho1 0.000 0.315 0.619 x4
Ni1 0.000 0.238 0.928 x4
Te1 0.000 0.000 0.664 x2
Te2 0.000 0.500 0.763 x2

Largest 12 diffraction maxima, in order of rising 2θ, 10 to 80 degrees two-theta:
2θ/deg	intensity
24.89	35
28.80	31
30.08	27
30.31	39
32.93	90
33.98	97
34.46	100
36.56	30
38.39	36
39.39	27
47.12	34
58.69	34